No. 1
Starting from a cell relaxed with PBE+U, the X-ray powder pattern of Na2Mn3P3O12 was simulated for Cu Kα X-rays.
Lines closer than 0.1° are merged.

Unit cell a=12.1375 b=12.7196 c=6.7500 alpha=90.00 beta=115.39 gamma=90.00
Space group C2/c (No. 15)
One atom of each set of equivalent atoms:
Na 0.0000 0.0000 0.0000 (multiplicity 4)
Na 0.0000 0.4857 0.2500 (multiplicity 4)
Mn 0.0000 0.2315 0.7500 (multiplicity 4)
Mn 0.2219 0.3408 0.6359 (multiplicity 8)
P 0.0000 0.2165 0.2500 (multiplicity 4)
P 0.2341 0.3908 0.1247 (multiplicity 8)
O 0.0429 0.2870 0.4594 (multiplicity 8)
O 0.0979 0.1388 0.2464 (multiplicity 8)
O 0.1299 0.0986 0.8259 (multiplicity 8)
O 0.1599 0.3364 0.8979 (multiplicity 8)
O 0.1716 0.4991 0.1157 (multiplicity 8)
O 0.2237 0.3229 0.3102 (multiplicity 8)

The 8 most intense peaks (5 to 70 degrees two-theta), in order of rising 2θ:
2θ = 13.9°, d 6.360, I 61, (0 2 0)
2θ = 25.4°, d 3.513, I 21, (3 1 0)
2θ = 27.7°, d 3.220, I 39, (1 1 -2)
2θ = 29.9°, d 2.993, I 33, (3 1 -2)
2θ = 32.6°, d 2.751, I 100, (2 4 0)
2θ = 32.7°, d 2.741, I 43, (4 0 0)
2θ = 34.3°, d 2.618, I 48, (1 3 -2)
2θ = 41.1°, d 2.195, I 27, (3 1 -3)



No. 2
Starting from a cell relaxed with PBE+U, the X-ray powder pattern of LiMnBO3 was simulated for Cu Kα X-rays.
Lines closer than 0.1° are merged.

Unit cell a=5.8333 b=13.0283 c=6.0217 alpha=90.00 beta=90.00 gamma=90.00
Space group Pbca (No. 61)
One atom of each set of equivalent atoms:
Li 0.0119 0.2475 0.2178 (multiplicity 8)
Mn 0.2490 0.5674 0.4907 (multiplicity 8)
B 0.2485 0.6462 0.9846 (multiplicity 8)
O 0.0896 0.5920 0.8569 (multiplicity 8)
O 0.1083 0.0906 0.1278 (multiplicity 8)
O 0.2369 0.2488 0.4714 (multiplicity 8)

The 8 most intense peaks (5 to 70 degrees two-theta), in order of rising 2θ:
2θ = 13.6°, d 6.514, I 60, (0 2 0)
2θ = 29.7°, d 3.011, I 70, (0 0 2)
2θ = 30.7°, d 2.917, I 54, (2 0 0)
2θ = 34.9°, d 2.572, I 100, (1 4 1)
2θ = 41.6°, d 2.171, I 45, (0 6 0)
2θ = 43.2°, d 2.095, I 66, (2 0 2)
2θ = 56.1°, d 1.640, I 38, (1 4 3)
2θ = 57.3°, d 1.609, I 39, (3 4 1)